For Sm4PdPt3, a cell relaxed with GGA-PBE gives the computed powder X-ray diffraction pattern in this record (Cu Kα (λ = 1.5418 Å)).

Most intense lines, 2θ = 15–90°, most intense first:
| Position (°2θ) | Rel. int. | h k l |
| --- | --- | --- |
| 31.53 | 100 | 1 1 1 |
| 39.62 | 81 | 1 1 3 |
| 39.49 | 34 | 0 2 0 |
| 33.31 | 31 | 0 0 4 |
| 38.86 | 23 | 0 1 4 |
| 47.24 | 20 | 2 0 0 |
| 73.37 | 19 | 0 1 8 |
| 63.22 | 17 | 2 2 0 |

Structure:
```
data_Sm4PdPt3
_chemical_formula_sum 'Sm4 Pd1 Pt3'
_space_group_name_H-M_alt 'P m m 2'
_space_group_IT_number 25
_cell_length_a 3.8479
_cell_length_b 4.5638
_cell_length_c 10.7590
_cell_angle_alpha 90.00
_cell_angle_beta 90.00
_cell_angle_gamma 90.00
loop_
_space_group_symop_operation_xyz
'x,y,z'
'-x,-y,z'
'-x,y,z'
'x,-y,z'
loop_
_atom_site_label
_atom_site_type_symbol
_atom_site_fract_x
_atom_site_fract_y
_atom_site_fract_z
Sm1 Sm 0.0000 0.0000 0.0000
Sm2 Sm 0.0000 0.5000 0.2724
Sm3 Sm 0.5000 0.0000 0.4953
Sm4 Sm 0.5000 0.5000 0.7716
Pd1 Pd 0.0000 0.0000 0.7211
Pt1 Pt 0.0000 0.5000 0.5494
Pt2 Pt 0.5000 0.0000 0.2228
Pt3 Pt 0.5000 0.5000 0.0455
```

For SmPdPt4, a cell relaxed with GGA-PBE gives the computed powder X-ray diffraction pattern in this record (Cu Kα (λ = 1.5418 Å)).

Most intense lines, 2θ = 15–90°, most intense first:
| Position (°2θ) | Rel. int. | h k l |
| --- | --- | --- |
| 39.47 | 100 | 3 1 1 |
| 41.30 | 54 | 2 2 2 |
| 63.87 | 33 | 5 1 1 |
| 70.32 | 30 | 4 4 0 |
| 20.31 | 22 | 1 1 1 |
| 84.95 | 21 | 6 2 2 |
| 33.47 | 16 | 2 2 0 |
| 83.76 | 12 | 5 3 3 |

Structure:
```
data_SmPdPt4
_chemical_formula_sum 'Sm4 Pd4 Pt16'
_space_group_name_H-M_alt 'F -4 3 m'
_space_group_IT_number 216
_space_group_name_Hall 'F -4 2 3'
_cell_length_a 7.5726
_cell_length_b 7.5726
_cell_length_c 7.5726
_cell_angle_alpha 90.00
_cell_angle_beta 90.00
_cell_angle_gamma 90.00
loop_
_atom_site_label
_atom_site_type_symbol
_atom_site_fract_x
_atom_site_fract_y
_atom_site_fract_z
Sm1 Sm 0.0000 0.0000 0.0000
Pd1 Pd 0.2500 0.2500 0.7500
Pt1 Pt 0.1246 0.1246 0.3754
```

For Sm2Pd7Pt3, a cell relaxed with GGA-PBE gives the computed powder X-ray diffraction pattern in this record (Cu Kα (λ = 1.5418 Å)).

Most intense lines, 2θ = 15–90°, most intense first:
| Position (°2θ) | Rel. int. | h k l |
| --- | --- | --- |
| 38.47 | 100 | -2 1 1 |
| 37.75 | 82 | 1 1 -3 |
| 41.42 | 65 | -1 1 4 |
| 41.97 | 47 | 0 2 1 |
| 38.97 | 43 | 1 -2 2 |
| 43.71 | 34 | 1 -1 4 |
| 31.00 | 31 | 1 0 2 |
| 36.39 | 30 | 0 1 3 |

Structure:
```
data_Sm2Pd7Pt3
_chemical_formula_sum 'Sm2 Pd7 Pt3'
_space_group_name_H-M_alt 'P -1'
_space_group_IT_number 2
_cell_length_a 4.7020
_cell_length_b 5.1052
_cell_length_c 10.3396
_cell_angle_alpha 96.52
_cell_angle_beta 100.32
_cell_angle_gamma 112.79
loop_
_space_group_symop_operation_xyz
'x,y,z'
'-x,-y,-z'
loop_
_atom_site_label
_atom_site_type_symbol
_atom_site_fract_x
_atom_site_fract_y
_atom_site_fract_z
Sm1 Sm 0.0171 0.2686 0.2556
Pd1 Pd 0.0000 0.5000 0.0000
Pd2 Pd 0.3028 0.8756 0.2461
Pd3 Pd 0.3272 0.7198 0.5168
Pd4 Pd 0.4106 0.4381 0.8669
Pt1 Pt 0.1895 0.2116 0.6053
Pt2 Pt 0.5000 0.0000 0.0000
```